Starting from a structure optimized by DFT (GGA-PBE), the PXRD pattern of Tm3Tl3Zn2 was simulated for Cu Kα X-rays.
Peak positions follow from Bragg's law for the DFT cell and can differ from measured ones.

Largest 10 diffraction maxima, in order of falling intensity, 2θ from 15° to 90°:
2θ/deg, Rel. int., index
33.48, 1000, 1 1 1
35.35, 638, 2 1 0
36.12, 357, 2 0 1
62.10, 254, 2 1 2
65.62, 208, 3 2 1
40.27, 208, 3 0 0
55.20, 180, 3 1 1
22.93, 166, 1 1 0
43.22, 151, 2 1 1
49.29, 142, 0 0 2

Cell and atoms:
a = 7.7582 Å, b = 7.7582 Å, c = 3.6978 Å
α = 90.00°, β = 90.00°, γ = 120.00°
Space group P-62m (No. 189)
Unique sites:
1 Tm 0.0000 0.3946 0.0000 (multiplicity 3)
2 Tl 0.0000 0.7492 0.5000 (multiplicity 3)
3 Zn 0.3333 0.6667 0.5000 (multiplicity 2)



Starting from a structure optimized by DFT (GGA-PBE), the PXRD pattern of Cs3PuPa2O9 was simulated for Cu Kα X-rays.
Peak positions follow from Bragg's law for the DFT cell and can differ from measured ones.

Largest 10 diffraction maxima, in order of falling intensity, 2θ from 15° to 90°:
2θ/deg, Rel. int., index
28.49, 1000, 1 1 0
50.46, 427, 3 0 0
40.73, 274, 2 0 2
81.25, 225, 4 1 0
66.77, 189, 3 1 2
58.97, 180, 2 2 0
20.04, 131, 1 0 1
45.80, 66, 2 1 1
74.14, 61, 0 4 2
62.94, 32, 3 0 3

Cell and atoms:
a = 6.2643 Å, b = 6.2643 Å, c = 7.6752 Å
α = 90.00°, β = 90.00°, γ = 120.00°
Space group P-3m1 (No. 164)
Unique sites:
1 Cs 0.0000 0.0000 0.0000 (multiplicity 1)
2 Cs 0.3333 0.6667 0.6659 (multiplicity 2)
3 Pu 0.0000 0.0000 0.5000 (multiplicity 1)
4 Pa 0.3333 0.6667 0.1690 (multiplicity 2)
5 O 0.0000 0.5000 0.0000 (multiplicity 3)
6 O 0.1655 0.3310 0.3352 (multiplicity 6)



Starting from a structure optimized by DFT (GGA-PBE), the PXRD pattern of SmInTe5Pb2 was simulated for Cu Kα X-rays.
Peak positions follow from Bragg's law for the DFT cell and can differ from measured ones.

Largest 10 diffraction maxima, in order of falling intensity, 2θ from 15° to 90°:
2θ/deg, Rel. int., index
27.80, 1000, 1 1 3
26.88, 405, 0 6 1
35.27, 295, 1 5 3
32.27, 286, 1 5 2
40.58, 251, 2 0 0
20.58, 164, 0 2 3
44.97, 161, 1 7 4
49.35, 155, 2 6 1
23.95, 145, 1 3 0
32.50, 136, 0 2 5

Cell and atoms:
a = 4.446 Å, b = 20.457 Å, c = 14.280 Å
α = 90.00°, β = 90.00°, γ = 90.00°
Space group Cmc2_1 (No. 36)
Unique sites:
1 Sm 0.000 0.196 0.000 (multiplicity 4)
2 In 0.000 0.448 0.411 (multiplicity 4)
3 Te 0.000 0.039 0.033 (multiplicity 4)
4 Te 0.000 0.299 0.657 (multiplicity 4)
5 Te 0.000 0.315 0.343 (multiplicity 4)
6 Te 0.000 0.349 0.993 (multiplicity 4)
7 Te 0.000 0.477 0.749 (multiplicity 4)
8 Pb 0.000 0.125 0.306 (multiplicity 4)
9 Pb 0.000 0.149 0.647 (multiplicity 4)



Starting from a structure optimized by DFT (GGA-PBE), the PXRD pattern of Pm2ZnBr was simulated for Cu Kα X-rays.
Peak positions follow from Bragg's law for the DFT cell and can differ from measured ones.

Largest 10 diffraction maxima, in order of falling intensity, 2θ from 15° to 90°:
2θ/deg, Rel. int., index
33.34, 1000, 1 0 2
35.74, 443, 1 1 0
62.70, 317, 2 1 2
58.00, 185, 1 1 4
51.44, 166, 2 0 0
25.07, 107, 1 0 0
44.08, 93, 0 0 4
70.02, 92, 2 0 4
86.66, 70, 3 1 0
85.30, 68, 3 0 2

Cell and atoms:
a = 3.553 Å, b = 3.553 Å, c = 8.218 Å
α = 90.00°, β = 90.00°, γ = 90.00°
Space group P4/mmm (No. 123)
Unique sites:
1 Pm 0.000 0.000 0.224 (multiplicity 2)
2 Zn 0.500 0.500 0.000 (multiplicity 1)
3 Br 0.500 0.500 0.500 (multiplicity 1)



Starting from a structure optimized by DFT (GGA-PBE), the PXRD pattern of BaNb2H was simulated for Cu Kα X-rays.
Peak positions follow from Bragg's law for the DFT cell and can differ from measured ones.

Largest 10 diffraction maxima, in order of falling intensity, 2θ from 15° to 90°:
2θ/deg, Rel. int., index
34.00, 1000, 3 1 1
28.88, 389, 2 2 0
54.53, 339, 5 1 1
35.57, 306, 2 2 2
59.83, 283, 4 4 0
85.25, 214, 7 3 1
51.18, 154, 4 2 2
70.64, 117, 5 3 3
71.58, 113, 6 2 2
82.56, 79, 6 4 2

Cell and atoms:
a = 8.744 Å, b = 8.744 Å, c = 8.744 Å
α = 90.00°, β = 90.00°, γ = 90.00°
Space group Fd-3m (No. 227, origin choice 2)
Unique sites:
1 Ba 0.125 0.125 0.125 (multiplicity 8)
2 Nb 0.000 0.000 0.500 (multiplicity 16)
3 H 0.125 0.125 0.625 (multiplicity 8)



Starting from a structure optimized by DFT (GGA-PBE), the PXRD pattern of NdDy2Y2Sc was simulated for Cu Kα X-rays.
Peak positions follow from Bragg's law for the DFT cell and can differ from measured ones.

Largest 10 diffraction maxima, in order of falling intensity, 2θ from 15° to 90°:
2θ/deg, Rel. int., index
30.73, 1000, 0 3 1
34.27, 369, 2 4 0
29.18, 366, 2 2 0
38.81, 300, 2 1 1
41.57, 277, 2 3 1
33.70, 272, 1 6 0
16.94, 249, 1 2 0
65.54, 225, 4 3 1
56.53, 139, 1 9 1
27.30, 136, 2 0 0

Cell and atoms:
a = 6.534 Å, b = 17.481 Å, c = 3.356 Å
α = 90.00°, β = 90.00°, γ = 90.00°
Space group Pnnm (No. 58)
Unique sites:
1 Nd 0.000 0.000 0.000 (multiplicity 2)
2 Dy 0.248 0.146 0.500 (multiplicity 4)
3 Y 0.247 0.318 0.000 (multiplicity 4)
4 Sc 0.000 0.500 0.000 (multiplicity 2)



Starting from a structure optimized by DFT (GGA-PBE), the PXRD pattern of Th3NpAs4 was simulated for Cu Kα X-rays.
Peak positions follow from Bragg's law for the DFT cell and can differ from measured ones.

Largest 10 diffraction maxima, in order of falling intensity, 2θ from 15° to 90°:
2θ/deg, Rel. int., index
29.91, 1000, 1 2 1
42.81, 637, 2 0 2
25.83, 448, 2 0 0
53.14, 205, 4 0 0
78.47, 199, 5 2 1
70.44, 178, 3 2 3
70.55, 177, 4 4 0
50.67, 175, 3 2 1
62.15, 128, 2 4 2
42.86, 127, 0 4 0

Cell and atoms:
a = 7.312 Å, b = 8.440 Å, c = 7.325 Å
α = 90.00°, β = 109.39°, γ = 90.00°
Space group P2/c (No. 13)
Unique sites:
1 Th 0.000 0.124 0.250 (multiplicity 2)
2 Th 0.000 0.374 0.750 (multiplicity 2)
3 Th 0.500 0.374 0.250 (multiplicity 2)
4 Np 0.500 0.124 0.750 (multiplicity 2)
5 As 0.253 0.372 0.503 (multiplicity 4)
6 As 0.257 0.122 0.999 (multiplicity 4)



Starting from a structure optimized by DFT (GGA-PBE), the PXRD pattern of In was simulated for Cu Kα X-rays.
Peak positions follow from Bragg's law for the DFT cell and can differ from measured ones.

Largest 10 diffraction maxima, in order of falling intensity, 2θ from 15° to 90°:
2θ/deg, Rel. int., index
32.09, 1000, 1 1 -1
34.37, 831, 0 2 1
32.22, 495, 0 0 2
39.51, 283, 1 1 1
39.75, 275, 1 1 -2
54.90, 209, 1 3 0
58.84, 168, 0 2 3
64.70, 125, 2 2 -1
51.80, 124, 1 1 2
52.12, 124, 1 1 -3

Cell and atoms:
a = 3.300 Å, b = 5.911 Å, c = 5.786 Å
α = 90.00°, β = 106.18°, γ = 90.00°
Space group C2/c (No. 15)
Unique sites:
1 In 0.000 0.126 0.250 (multiplicity 4)



Starting from a structure optimized by DFT (GGA-PBE), the PXRD pattern of SrNi2Rh was simulated for Cu Kα X-rays.
Peak positions follow from Bragg's law for the DFT cell and can differ from measured ones.

Largest 10 diffraction maxima, in order of falling intensity, 2θ from 15° to 90°:
2θ/deg, Rel. int., index
43.01, 1000, 1 1 0
16.98, 689, 0 0 3
56.17, 678, 1 1 6
34.35, 486, 0 0 6
37.88, 440, 0 1 5
33.61, 430, 1 0 4
25.10, 383, 1 0 1
46.56, 285, 1 1 3
88.90, 182, 3 0 6
64.80, 180, 1 0 10

Cell and atoms:
a = 4.2056 Å, b = 4.2056 Å, c = 15.6622 Å
α = 90.00°, β = 90.00°, γ = 120.00°
Space group R3m (No. 160, hexagonal axes)
Unique sites:
1 Sr 0.0000 0.0000 0.0000 (multiplicity 3)
2 Ni 0.0000 0.0000 0.1844 (multiplicity 3)
3 Ni 0.0000 0.0000 0.4958 (multiplicity 3)
4 Rh 0.0000 0.0000 0.8133 (multiplicity 3)



Starting from a structure optimized by DFT (GGA-PBE), the PXRD pattern of PuSc4Se6 was simulated for Cu Kα X-rays.
Peak positions follow from Bragg's law for the DFT cell and can differ from measured ones.

Largest 10 diffraction maxima, in order of falling intensity, 2θ from 15° to 90°:
2θ/deg, Rel. int., index
32.43, 1000, 1 3 2
30.38, 532, 0 2 6
34.00, 278, 1 3 3
29.97, 256, 1 1 4
46.65, 251, 2 0 0
43.78, 227, 1 1 8
46.40, 214, 0 6 4
36.11, 189, 0 0 8
46.26, 188, 1 5 4
19.30, 187, 0 2 3

Cell and atoms:
a = 3.894 Å, b = 12.773 Å, c = 19.886 Å
α = 90.00°, β = 90.00°, γ = 90.00°
Space group Cmcm (No. 63)
Unique sites:
1 Pu 0.000 0.158 0.250 (multiplicity 4)
2 Sc 0.000 0.091 0.626 (multiplicity 8)
3 Sc 0.000 0.359 0.539 (multiplicity 8)
4 Se 0.000 0.000 0.000 (multiplicity 4)
5 Se 0.000 0.172 0.750 (multiplicity 4)
6 Se 0.000 0.269 0.088 (multiplicity 8)
7 Se 0.000 0.455 0.661 (multiplicity 8)



Starting from a structure optimized by DFT (GGA-PBE), the PXRD pattern of RbLiGa2Te4 was simulated for Cu Kα X-rays.
Peak positions follow from Bragg's law for the DFT cell and can differ from measured ones.

Largest 10 diffraction maxima, in order of falling intensity, 2θ from 15° to 90°:
2θ/deg, Rel. int., index
25.11, 1000, 1 2 1
24.40, 905, 1 1 2
48.74, 486, 2 3 3
32.28, 461, 2 2 0
29.35, 418, 0 1 3
40.64, 371, 1 1 4
42.88, 303, 1 4 1
18.31, 262, 0 0 2
55.61, 202, 3 1 4
44.23, 195, 3 1 2

Cell and atoms:
a = 6.999 Å, b = 9.088 Å, c = 9.690 Å
α = 90.00°, β = 90.00°, γ = 90.00°
Space group I222 (No. 23)
Unique sites:
1 Rb 0.000 0.000 0.000 (multiplicity 2)
2 Li 0.000 0.000 0.500 (multiplicity 2)
3 Ga 0.000 0.500 0.160 (multiplicity 4)
4 Te 0.232 0.175 0.321 (multiplicity 8)



Starting from a structure optimized by DFT (GGA-PBE), the PXRD pattern of VIr2Rh4 was simulated for Cu Kα X-rays.
Peak positions follow from Bragg's law for the DFT cell and can differ from measured ones.

Largest 10 diffraction maxima, in order of falling intensity, 2θ from 15° to 90°:
2θ/deg, Rel. int., index
41.54, 1000, 3 3 1
42.45, 786, 2 4 2
42.65, 558, 1 7 1
43.00, 481, 0 6 2
43.21, 432, 1 1 3
29.21, 427, 0 2 2
36.04, 280, 2 0 2
18.61, 222, 1 1 1
44.19, 193, 0 8 0
40.63, 191, 2 6 0

Cell and atoms:
a = 7.617 Å, b = 16.397 Å, c = 6.591 Å
α = 90.00°, β = 90.00°, γ = 90.00°
Space group Fdd2 (No. 43)
Unique sites:
1 V 0.000 0.000 0.000 (multiplicity 8)
2 Ir 0.061 0.238 0.592 (multiplicity 16)
3 Rh 0.031 0.133 0.289 (multiplicity 16)
4 Rh 0.057 0.414 0.175 (multiplicity 16)



Starting from a structure optimized by DFT (GGA-PBE), the PXRD pattern of AgWCl was simulated for Cu Kα X-rays.
Peak positions follow from Bragg's law for the DFT cell and can differ from measured ones.

Largest 10 diffraction maxima, in order of falling intensity, 2θ from 15° to 90°:
2θ/deg, Rel. int., index
36.81, 1000, 1 0 1
42.95, 700, 0 1 2
37.44, 222, 0 0 3
61.93, 195, 1 1 0
51.87, 185, 0 1 3
74.66, 174, 1 1 3
34.56, 160, 1 0 0
62.79, 156, 1 0 4
75.45, 126, 0 1 5
74.27, 126, 0 2 1

Cell and atoms:
a = 2.9966 Å, b = 2.9966 Å, c = 7.2065 Å
α = 90.00°, β = 90.00°, γ = 120.00°
Space group P3m1 (No. 156)
Unique sites:
1 Ag 0.0000 0.0000 0.0000 (multiplicity 1)
2 W 0.3333 0.6667 0.6813 (multiplicity 1)
3 Cl 0.6667 0.3333 0.4366 (multiplicity 1)



Starting from a structure optimized by DFT (GGA-PBE), the PXRD pattern of Sr2CaO12 was simulated for Cu Kα X-rays.
Peak positions follow from Bragg's law for the DFT cell and can differ from measured ones.

Largest 10 diffraction maxima, in order of falling intensity, 2θ from 15° to 90°:
2θ/deg, Rel. int., index
23.61, 1000, 1 0 1
16.19, 706, 0 1 -1
29.48, 632, 0 1 2
37.38, 581, 2 -1 0
15.36, 368, 0 1 0
32.91, 279, 1 -2 2
50.04, 267, -1 1 4
38.50, 249, 0 2 -3
48.31, 237, 2 0 2
43.73, 234, 1 2 -2

Cell and atoms:
a = 4.811 Å, b = 6.444 Å, c = 8.681 Å
α = 104.20°, β = 90.01°, γ = 111.83°
Space group P1 (No. 1)
Unique sites:
1 Sr 0.000 0.000 0.000 (multiplicity 1)
2 Sr 0.445 0.892 0.614 (multiplicity 1)
3 Ca 0.723 0.446 0.307 (multiplicity 1)
4 O 0.168 0.337 0.786 (multiplicity 1)
5 O 0.195 0.389 0.227 (multiplicity 1)
6 O 0.251 0.503 0.387 (multiplicity 1)
7 O 0.276 0.554 0.828 (multiplicity 1)
8 O 0.540 0.080 0.070 (multiplicity 1)
9 O 0.546 0.093 0.911 (multiplicity 1)
10 O 0.549 0.098 0.396 (multiplicity 1)
11 O 0.634 0.272 0.532 (multiplicity 1)
12 O 0.811 0.620 0.082 (multiplicity 1)
13 O 0.897 0.793 0.219 (multiplicity 1)
14 O 0.899 0.798 0.703 (multiplicity 1)
15 O 0.906 0.812 0.544 (multiplicity 1)